For Rb3Hg4Sb4, a DFT-relaxed cell (GGA-PBE, Alexandria) gives the simulated powder diffraction line list in this record (a wavelength of 1.5418 Å).
Peak positions follow from Bragg's law for the DFT cell and can differ from measured ones.

Cell and atoms:
```
data_Rb3Hg4Sb4
_cell_length_a 5.181
_cell_length_b 5.504
_cell_length_c 28.096
_cell_angle_alpha 90.00
_cell_angle_beta 90.00
_cell_angle_gamma 90.00
_symmetry_space_group_name_H-M 'I m m m'
_symmetry_Int_Tables_number 71
_symmetry_space_group_name_Hall '-I 2 2'
loop_
_atom_site_label
_atom_site_type_symbol
_atom_site_fract_x
_atom_site_fract_y
_atom_site_fract_z
_atom_site_occupancy
Rb1 Rb 0.000 0.000 0.000 1
Rb2 Rb 0.000 0.500 0.349 1
Hg1 Hg 0.000 0.000 0.248 1
Hg2 Hg 0.000 0.500 0.097 1
Sb1 Sb 0.000 0.000 0.448 1
Sb2 Sb 0.000 0.500 0.199 1
```

Largest 10 diffraction maxima, sorted by position, 2θ from 5° to 70°:
14.048 Å, rel. 36, (0 0 2)
5.401 Å, rel. 36, (0 1 1)
4.683 Å, rel. 18, (0 0 6)
3.324 Å, rel. 100, (1 1 4)
3.243 Å, rel. 30, (0 1 7)
2.752 Å, rel. 43, (0 2 0)
2.674 Å, rel. 22, (1 0 9)
2.591 Å, rel. 36, (2 0 0)
2.253 Å, rel. 42, (1 1 10)
1.886 Å, rel. 28, (2 2 0)